No. 1
Calculated powder diffraction line list
Compound: Ti3Ga8
Radiation: Cu Kα (λ = 1.5418 Å)
Structure: a structure optimized by DFT (PBE)
Peak positions follow from Bragg's law for the DFT cell and can differ from measured ones.

Principal peaks in the range 10 to 80 degrees two-theta, in order of rising 2θ:
- (1 1 1), d = 3.427 Å, I = 12.3
- (2 0 0), d = 2.968 Å, I = 51.4
- (2 1 0), d = 2.655 Å, I = 14.3
- (2 2 0), d = 2.099 Å, I = 100.0
- (3 0 0), d = 1.979 Å, I = 8.1
- (3 1 1), d = 1.790 Å, I = 4.5
- (2 2 2), d = 1.714 Å, I = 11.0
- (3 2 0), d = 1.646 Å, I = 7.3
- (4 0 0), d = 1.484 Å, I = 13.5
- (3 2 2), d = 1.440 Å, I = 9.2
- (4 2 0), d = 1.327 Å, I = 10.7
- (4 2 2), d = 1.212 Å, I = 23.3

Atomic structure:
a = 5.936 Å, b = 5.936 Å, c = 5.936 Å
α = 90.00°, β = 90.00°, γ = 90.00°
Space group Pm-3m (No. 221)
Symmetry-distinct sites (fractional):
Ti: 0.000 0.000 0.500 x3
Ga: 0.273 0.273 0.273 x8

No. 2
Calculated powder diffraction line list
Compound: Tb6CeTm3Th2
Radiation: Cu Kα (λ = 1.5418 Å)
Structure: a structure optimized by DFT (PBE)
Peak positions follow from Bragg's law for the DFT cell and can differ from measured ones.

Principal peaks in the range 10 to 80 degrees two-theta, in order of rising 2θ:
- (0 0 2), d = 5.771 Å, I = 0.8
- (2 0 0), d = 3.020 Å, I = 0.5
- (2 0 -2), d = 2.891 Å, I = 33.5
- (1 3 1), d = 2.888 Å, I = 100.0
- (2 0 2), d = 2.502 Å, I = 67.6
- (1 3 5), d = 1.769 Å, I = 48.3
- (4 0 0), d = 1.509 Å, I = 43.2
- (2 0 6), d = 1.508 Å, I = 14.3
- (2 6 2), d = 1.445 Å, I = 12.4
- (0 0 8), d = 1.443 Å, I = 4.1
- (4 0 4), d = 1.251 Å, I = 7.7

Atomic structure:
a = 6.135 Å, b = 10.620 Å, c = 11.721 Å
α = 90.00°, β = 100.06°, γ = 90.00°
Space group C2/m (No. 12)
Symmetry-distinct sites (fractional):
Tb: 0.249 0.000 0.248 x4
Tb: 0.250 0.167 0.752 x8
Ce: 0.000 0.500 0.000 x2
Tm: 0.000 0.000 0.500 x2
Tm: 0.000 0.333 0.500 x4
Th: 0.000 0.167 0.000 x4